Starting from the GGA-PBE geometry in Alexandria, the X-ray diffraction stick pattern of Tb6PmTm12 was calculated for λ = 1.5418 Å (Cu Kα).
Intensities are scaled so that the largest is 100.

Largest 12 diffraction maxima, low angle first, 2θ from 15° to 90°:
23.80°, d 3.739, I 12
30.99°, d 2.886, I 43
31.77°, d 2.816, I 22
32.16°, d 2.783, I 100
33.26°, d 2.694, I 68
33.82°, d 2.650, I 26
35.32°, d 2.541, I 16
45.62°, d 1.988, I 14
56.26°, d 1.635, I 20
56.67°, d 1.624, I 12
58.98°, d 1.566, I 19
64.06°, d 1.454, I 11

Structural model:
abc: 8.4550 8.4550 8.4550
angles: 88.42 88.42 88.42
Atoms (fractional coordinates):
Tb (0.1818, 0.5882, 0.7541)
Tb (0.2459, 0.8182, 0.4118)
Tb (0.4118, 0.2459, 0.8182)
Tb (0.5882, 0.7541, 0.1818)
Tb (0.7541, 0.1818, 0.5882)
Tb (0.8182, 0.4118, 0.2459)
Pm (0.5000, 0.5000, 0.5000)
Tm (0.0463, 0.2704, 0.9374)
Tm (0.0626, 0.9537, 0.7296)
Tm (0.1489, 0.2812, 0.4930)
Tm (0.2704, 0.9374, 0.0463)
Tm (0.2812, 0.4930, 0.1489)
Tm (0.4930, 0.1489, 0.2812)
Tm (0.5070, 0.8511, 0.7188)
Tm (0.7188, 0.5070, 0.8511)
Tm (0.7296, 0.0626, 0.9537)
Tm (0.8511, 0.7188, 0.5070)
Tm (0.9374, 0.0463, 0.2704)
Tm (0.9537, 0.7296, 0.0626)

---

Starting from the GGA-PBE geometry in Alexandria, the X-ray diffraction stick pattern of ThSc2ZnC was calculated for λ = 1.5418 Å (Cu Kα).
Intensities are scaled so that the largest is 100.

Largest 12 diffraction maxima, low angle first, 2θ from 15° to 90°:
17.56°, d 5.052, I 32
19.66°, d 4.515, I 33
26.48°, d 3.366, I 31
27.95°, d 3.192, I 35
33.20°, d 2.699, I 100
35.54°, d 2.526, I 26
39.94°, d 2.257, I 31
43.93°, d 2.061, I 20
45.81°, d 1.981, I 19
54.52°, d 1.683, I 27
62.34°, d 1.489, I 16
68.27°, d 1.374, I 18

Structural model:
abc: 6.7752 6.7752 6.7752
angles: 123.78 123.78 83.58
Atoms (fractional coordinates):
Th (0.2500, 0.2500, 0.0000)
Th (0.7500, 0.7500, 0.0000)
Sc (0.1952, 0.6952, 0.8903)
Sc (0.3048, 0.1952, 0.5000)
Sc (0.6952, 0.8048, 0.5000)
Sc (0.8048, 0.3048, 0.1097)
Zn (0.2500, 0.7500, 0.5000)
Zn (0.7500, 0.2500, 0.5000)
C (0.0000, 0.0000, 0.0000)
C (0.5000, 0.5000, 0.0000)

---

Starting from the GGA-PBE geometry in Alexandria, the X-ray diffraction stick pattern of Mn2GaBSe was calculated for λ = 1.5418 Å (Cu Kα).
Intensities are scaled so that the largest is 100.

Largest 12 diffraction maxima, low angle first, 2θ from 15° to 90°:
33.00°, d 2.715, I 100
33.12°, d 2.704, I 50
36.10°, d 2.488, I 29
37.90°, d 2.374, I 26
42.24°, d 2.140, I 92
42.36°, d 2.134, I 45
44.83°, d 2.022, I 74
45.19°, d 2.007, I 30
53.68°, d 1.707, I 41
58.44°, d 1.579, I 25
58.68°, d 1.573, I 49
77.02°, d 1.238, I 22

Structural model:
abc: 5.4436 3.1585 8.2282
angles: 90.00 102.71 90.00
Atoms (fractional coordinates):
Mn (0.0000, 0.0000, 0.0000)
Mn (0.0818, 0.5000, 0.7426)
Mn (0.5000, 0.5000, 0.0000)
Mn (0.5818, 0.0000, 0.7426)
Ga (0.2400, 0.5000, 0.2226)
Ga (0.7400, 0.0000, 0.2226)
B (0.2934, 0.0000, 0.8795)
B (0.7934, 0.5000, 0.8795)
Se (0.3489, 0.5000, 0.5426)
Se (0.8489, 0.0000, 0.5426)

---

Starting from the GGA-PBE geometry in Alexandria, the X-ray diffraction stick pattern of Al2CuPd5 was calculated for λ = 1.5418 Å (Cu Kα).
Intensities are scaled so that the largest is 100.

Largest 12 diffraction maxima, low angle first, 2θ from 15° to 90°:
23.49°, d 3.788, I 19
32.39°, d 2.764, I 27
40.14°, d 2.247, I 60
40.65°, d 2.219, I 100
41.07°, d 2.198, I 44
42.06°, d 2.148, I 23
44.84°, d 2.021, I 41
48.04°, d 1.894, I 34
63.16°, d 1.472, I 13
67.81°, d 1.382, I 23
79.52°, d 1.205, I 20
79.81°, d 1.202, I 13

Structural model:
abc: 5.4043 10.6218 4.0428
angles: 90.00 90.00 90.00
Atoms (fractional coordinates):
Al (0.1866, 0.1345, 0.0000)
Al (0.3134, 0.6345, 0.0000)
Al (0.6866, 0.3655, 0.0000)
Al (0.8134, 0.8655, 0.0000)
Cu (0.0000, 0.5000, 0.5000)
Cu (0.5000, 0.0000, 0.5000)
Pd (0.0000, 0.0000, 0.5000)
Pd (0.0875, 0.7369, 0.5000)
Pd (0.1982, 0.3881, 0.0000)
Pd (0.3018, 0.8881, 0.0000)
Pd (0.4125, 0.2369, 0.5000)
Pd (0.5000, 0.5000, 0.5000)
Pd (0.5875, 0.7631, 0.5000)
Pd (0.6982, 0.1119, 0.0000)
Pd (0.8018, 0.6119, 0.0000)
Pd (0.9125, 0.2631, 0.5000)

---

Starting from the GGA-PBE geometry in Alexandria, the X-ray diffraction stick pattern of La6ZnCu5 was calculated for λ = 1.5418 Å (Cu Kα).
Intensities are scaled so that the largest is 100.

Largest 12 diffraction maxima, low angle first, 2θ from 15° to 90°:
24.13°, d 3.688, I 13
24.38°, d 3.652, I 6
34.39°, d 2.608, I 51
34.56°, d 2.595, I 100
49.35°, d 1.847, I 9
49.49°, d 1.842, I 9
49.95°, d 1.826, I 9
61.67°, d 1.504, I 26
61.80°, d 1.501, I 9
62.05°, d 1.496, I 17
82.73°, d 1.167, I 7
83.66°, d 1.156, I 7

Structural model:
abc: 5.2104 7.3033 8.2477
angles: 90.00 108.25 90.00
Atoms (fractional coordinates):
La (0.0000, 0.2411, 0.0000)
La (0.0000, 0.7589, 0.0000)
La (0.3304, 0.2496, 0.6600)
La (0.3304, 0.7504, 0.6600)
La (0.6696, 0.2496, 0.3400)
La (0.6696, 0.7504, 0.3400)
Zn (0.5000, 0.5000, 0.0000)
Cu (0.1576, 0.5000, 0.3160)
Cu (0.1654, 0.0000, 0.3325)
Cu (0.5000, 0.0000, 0.0000)
Cu (0.8346, 0.0000, 0.6675)
Cu (0.8424, 0.5000, 0.6840)

---

Starting from the GGA-PBE geometry in Alexandria, the X-ray diffraction stick pattern of PmErRhAu was calculated for λ = 1.5418 Å (Cu Kα).
Intensities are scaled so that the largest is 100.

Largest 12 diffraction maxima, low angle first, 2θ from 15° to 90°:
31.60°, d 2.832, I 100
34.11°, d 2.629, I 26
34.77°, d 2.580, I 21
38.98°, d 2.311, I 34
39.43°, d 2.285, I 24
40.03°, d 2.253, I 68
47.73°, d 1.905, I 19
52.74°, d 1.736, I 15
53.22°, d 1.721, I 13
63.26°, d 1.470, I 16
66.01°, d 1.415, I 13
80.28°, d 1.196, I 14

Structural model:
abc: 4.6212 3.8108 10.5155
angles: 90.00 90.00 90.00
Atoms (fractional coordinates):
Pm (0.0000, 0.0000, 0.0000)
Pm (0.0000, 0.5000, 0.5000)
Er (0.5000, 0.0000, 0.7192)
Er (0.5000, 0.5000, 0.2192)
Rh (0.0000, 0.0000, 0.2633)
Rh (0.0000, 0.5000, 0.7633)
Au (0.5000, 0.0000, 0.4361)
Au (0.5000, 0.5000, 0.9361)

---

Starting from the GGA-PBE geometry in Alexandria, the X-ray diffraction stick pattern of TlZnCuF6 was calculated for λ = 1.5418 Å (Cu Kα).
Intensities are scaled so that the largest is 100.

Largest 12 diffraction maxima, low angle first, 2θ from 15° to 90°:
19.85°, d 4.474, I 41
25.27°, d 3.524, I 100
30.89°, d 2.894, I 16
31.98°, d 2.798, I 81
36.04°, d 2.492, I 19
41.48°, d 2.177, I 16
48.94°, d 1.861, I 71
51.89°, d 1.762, I 19
58.56°, d 1.576, I 15
60.75°, d 1.525, I 17
62.26°, d 1.491, I 22
74.09°, d 1.280, I 12

Structural model:
abc: 4.9843 4.9843 10.1454
angles: 90.00 90.00 90.00
Atoms (fractional coordinates):
Tl (0.0000, 0.0000, 0.0000)
Tl (0.5000, 0.5000, 0.5000)
Zn (0.0000, 0.0000, 0.3316)
Zn (0.5000, 0.5000, 0.8316)
Cu (0.0000, 0.0000, 0.6686)
Cu (0.5000, 0.5000, 0.1686)
F (0.1799, 0.1799, 0.4968)
F (0.2070, 0.2070, 0.1795)
F (0.2105, 0.2105, 0.8238)
F (0.2895, 0.7105, 0.3238)
F (0.2930, 0.7070, 0.6795)
F (0.3201, 0.6799, 0.9968)
F (0.6799, 0.3201, 0.9968)
F (0.7070, 0.2930, 0.6795)
F (0.7105, 0.2895, 0.3238)
F (0.7895, 0.7895, 0.8238)
F (0.7930, 0.7930, 0.1795)
F (0.8201, 0.8201, 0.4968)